1.
Structure and computed PXRD pattern of Ir2I2Cl (the GGA-PBE geometry in Alexandria; Cu Kα (λ = 1.5418 Å)).
Kinematic intensities with the Lorentz-polarization factor, no thermal factor.

Structure:
```
data_Ir2I2Cl
_cell_length_a 5.3791
_cell_length_b 5.3791
_cell_length_c 7.7771
_cell_angle_alpha 90.00
_cell_angle_beta 90.00
_cell_angle_gamma 90.00
_symmetry_space_group_name_H-M 'I 4/m m m'
_symmetry_Int_Tables_number 139
_symmetry_space_group_name_Hall '-I 4 2'
loop_
_atom_site_label
_atom_site_type_symbol
_atom_site_fract_x
_atom_site_fract_y
_atom_site_fract_z
Ir1 Ir 0.0000 0.0000 0.1630
I1 I 0.0000 0.5000 0.2500
Cl1 Cl 0.0000 0.0000 0.5000
```

Peak list (12 most intense, 10° ≤ 2θ ≤ 90°, sorted by position)
4.424 Å, I 39, hkl 1 0 1
3.889 Å, I 44, hkl 0 0 2
2.690 Å, I 100, hkl 2 0 0
2.335 Å, I 52, hkl 1 0 3
2.212 Å, I 39, hkl 2 0 2
1.902 Å, I 36, hkl 2 2 0
1.763 Å, I 44, hkl 2 1 3
1.731 Å, I 23, hkl 1 1 4
1.708 Å, I 18, hkl 2 2 2
1.280 Å, I 17, hkl 3 1 4
1.227 Å, I 17, hkl 1 1 6
1.203 Å, I 16, hkl 4 2 0

2.
Structure and computed PXRD pattern of CeCd2Hg (the GGA-PBE geometry in Alexandria; Cu Kα (λ = 1.5418 Å)).
Kinematic intensities with the Lorentz-polarization factor, no thermal factor.

Structure:
```
data_CeCd2Hg
_cell_length_a 4.5676
_cell_length_b 4.5676
_cell_length_c 4.9931
_cell_angle_alpha 90.00
_cell_angle_beta 90.00
_cell_angle_gamma 90.00
_symmetry_space_group_name_H-M 'P 4/m m m'
_symmetry_Int_Tables_number 123
_symmetry_space_group_name_Hall '-P 4 2'
loop_
_atom_site_label
_atom_site_type_symbol
_atom_site_fract_x
_atom_site_fract_y
_atom_site_fract_z
Ce1 Ce 0.0000 0.0000 0.0000
Cd1 Cd 0.0000 0.5000 0.5000
Hg1 Hg 0.5000 0.5000 0.0000
```

Peak list (12 most intense, 10° ≤ 2θ ≤ 90°, sorted by position)
4.993 Å, I 4, hkl 0 0 1
2.712 Å, I 100, hkl 1 1 1
2.497 Å, I 20, hkl 0 0 2
2.284 Å, I 31, hkl 2 0 0
1.685 Å, I 24, hkl 2 0 2
1.615 Å, I 10, hkl 2 2 0
1.479 Å, I 15, hkl 1 1 3
1.388 Å, I 25, hkl 3 1 1
1.356 Å, I 11, hkl 2 2 2
1.142 Å, I 3, hkl 4 0 0
1.095 Å, I 6, hkl 2 0 4
1.091 Å, I 12, hkl 3 1 3

3.
Structure and computed PXRD pattern of TmSc3Cd2 (the GGA-PBE geometry in Alexandria; Cu Kα (λ = 1.5418 Å)).
Kinematic intensities with the Lorentz-polarization factor, no thermal factor.

Structure:
```
data_TmSc3Cd2
_cell_length_a 3.4337
_cell_length_b 3.4337
_cell_length_c 12.2198
_cell_angle_alpha 90.00
_cell_angle_beta 90.00
_cell_angle_gamma 90.00
_symmetry_space_group_name_H-M 'P 4/m m m'
_symmetry_Int_Tables_number 123
_symmetry_space_group_name_Hall '-P 4 2'
loop_
_atom_site_label
_atom_site_type_symbol
_atom_site_fract_x
_atom_site_fract_y
_atom_site_fract_z
Tm1 Tm 0.0000 0.0000 0.0000
Sc1 Sc 0.5000 0.5000 0.1918
Sc2 Sc 0.5000 0.5000 0.5000
Cd1 Cd 0.0000 0.0000 0.3473
```

Peak list (12 most intense, 10° ≤ 2θ ≤ 90°, sorted by position)
4.073 Å, I 20, hkl 0 0 3
3.434 Å, I 26, hkl 1 0 0
2.993 Å, I 7, hkl 1 0 2
2.625 Å, I 100, hkl 1 0 3
2.428 Å, I 43, hkl 1 1 0
2.086 Å, I 14, hkl 1 1 3
2.037 Å, I 10, hkl 0 0 6
1.752 Å, I 8, hkl 1 0 6
1.717 Å, I 14, hkl 2 0 0
1.560 Å, I 16, hkl 1 1 6
1.437 Å, I 29, hkl 2 1 3
1.313 Å, I 9, hkl 2 0 6

4.
Structure and computed PXRD pattern of Pa2CdCuO8 (the GGA-PBE geometry in Alexandria; Cu Kα (λ = 1.5418 Å)).
Kinematic intensities with the Lorentz-polarization factor, no thermal factor.

Structure:
```
data_Pa2CdCuO8
_cell_length_a 5.1787
_cell_length_b 5.1787
_cell_length_c 6.4346
_cell_angle_alpha 90.00
_cell_angle_beta 90.00
_cell_angle_gamma 120.00
_symmetry_space_group_name_H-M 'P -3 m 1'
_symmetry_Int_Tables_number 164
_symmetry_space_group_name_Hall '-P 3 2"'
loop_
_atom_site_label
_atom_site_type_symbol
_atom_site_fract_x
_atom_site_fract_y
_atom_site_fract_z
Pa1 Pa 0.3333 0.6667 0.3516
Cd1 Cd 0.0000 0.0000 0.0000
Cu1 Cu 0.0000 0.0000 0.5000
O1 O 0.1719 0.3437 0.6677
O2 O 0.3333 0.6667 0.0600
```

Peak list (12 most intense, 10° ≤ 2θ ≤ 90°, sorted by position)
6.435 Å, I 32, hkl 0 0 1
3.679 Å, I 100, hkl 0 1 1
2.614 Å, I 60, hkl 1 0 2
2.589 Å, I 73, hkl 1 1 0
2.145 Å, I 12, hkl 0 0 3
2.118 Å, I 39, hkl 2 0 1
1.840 Å, I 33, hkl 0 2 2
1.652 Å, I 20, hkl 1 1 3
1.639 Å, I 22, hkl 1 2 1
1.514 Å, I 13, hkl 0 1 4
1.500 Å, I 23, hkl 2 1 2
1.495 Å, I 14, hkl 3 0 0